Structure and simulated powder X-ray diffraction pattern of Cs2AcHgBr6 (a PBE-relaxed structure; Cu Kα X-rays).
No peak broadening, texture or thermal motion is included.

Principal peaks in the range 10 to 90 degrees two-theta, sorted by position:
Position (°2θ), I_rel, hkl
14.5, 39, 2 0 0
20.6, 90, 2 2 0
29.3, 100, 4 0 0
32.9, 23, 4 2 0
36.1, 44, 4 2 2
42.0, 75, 4 4 0
52.0, 27, 4 4 4
56.6, 25, 6 4 2
69.0, 34, 8 4 0
76.7, 26, 8 4 4

a b c (Å): 12.1786 12.1786 12.1786
angles (deg): 90.00 90.00 90.00
Space group Fm-3m (No. 225)
Asymmetric unit:
Cs 0.2500 0.2500 0.2500 [8 per cell]
Ac 0.0000 0.0000 0.0000 [4 per cell]
Hg 0.0000 0.0000 0.5000 [4 per cell]
Br 0.0000 0.0000 0.2472 [24 per cell]

=====

Structure and simulated powder X-ray diffraction pattern of CsSrAcBr6 (a PBE-relaxed structure; Cu Kα X-rays).
No peak broadening, texture or thermal motion is included.

Principal peaks in the range 10 to 90 degrees two-theta, sorted by position:
Position (°2θ), I_rel, hkl
11.5, 28, 0 0 2
13.9, 21, 1 0 1
17.1, 90, 1 0 2
24.9, 75, 1 1 2
32.1, 100, 1 1 4
35.9, 35, 2 1 2
38.6, 47, 3 0 0
41.7, 22, 2 -1 6
48.3, 21, 4 -1 2
51.0, 22, 4 -2 4

a b c (Å): 8.0867 8.0867 15.4001
angles (deg): 90.00 90.00 120.00
Space group P-31c (No. 163)
Asymmetric unit:
Cs 0.0000 0.0000 0.0000 [2 per cell]
Sr 0.3333 0.6667 0.2500 [2 per cell]
Ac 0.3333 0.6667 0.7500 [2 per cell]
Br 0.0022 0.3760 0.6388 [12 per cell]

=====

Structure and simulated powder X-ray diffraction pattern of AcCuBr5 (a PBE-relaxed structure; Cu Kα X-rays).
No peak broadening, texture or thermal motion is included.

Principal peaks in the range 10 to 90 degrees two-theta, sorted by position:
Position (°2θ), I_rel, hkl
14.7, 39, 1 1 -1
18.6, 70, 0 2 1
20.8, 58, 2 0 0
22.0, 50, 1 1 -2
28.7, 100, 1 3 1
30.2, 72, 2 2 1
31.2, 92, 0 4 0
31.3, 85, 1 1 -3
33.5, 81, 2 0 2
38.5, 69, 1 3 -3

a b c (Å): 8.9035 11.4735 8.8725
angles (deg): 90.00 106.16 90.00
Space group C2/c (No. 15)
Asymmetric unit:
Ac 0.0000 0.1069 0.2500 [4 per cell]
Cu 0.0000 0.5000 0.0000 [4 per cell]
Br 0.0000 0.4009 0.2500 [4 per cell]
Br 0.1377 0.3289 0.6226 [8 per cell]
Br 0.1543 0.0916 0.9689 [8 per cell]

=====

Structure and simulated powder X-ray diffraction pattern of Rb2AcCuBr6 (a PBE-relaxed structure; Cu Kα X-rays).
No peak broadening, texture or thermal motion is included.

Principal peaks in the range 10 to 90 degrees two-theta, sorted by position:
Position (°2θ), I_rel, hkl
13.0, 38, 0 1 1
14.3, 80, 1 1 -1
22.5, 71, 1 1 1
25.0, 37, 2 1 -3
28.2, 65, 1 0 2
28.9, 100, 2 2 -2
31.3, 57, 1 3 -1
35.1, 49, 0 0 4
37.8, 50, 3 1 -1
38.2, 42, 3 1 -5

a b c (Å): 8.3910 9.1211 13.1426
angles (deg): 90.00 128.92 90.00
Space group P2_1/c (No. 14)
Asymmetric unit:
Rb 0.2279 0.0832 0.2469 [4 per cell]
Ac 0.0000 0.0000 0.5000 [2 per cell]
Cu 0.5000 0.0000 0.0000 [2 per cell]
Br 0.1279 0.2158 0.9521 [4 per cell]
Br 0.2482 0.6722 0.9486 [4 per cell]
Br 0.3887 0.0335 0.7904 [4 per cell]

=====

Structure and simulated powder X-ray diffraction pattern of AcZnBrF4 (a PBE-relaxed structure; Cu Kα X-rays).
No peak broadening, texture or thermal motion is included.

Principal peaks in the range 10 to 90 degrees two-theta, sorted by position:
Position (°2θ), I_rel, hkl
12.3, 68, 0 0 1
16.4, 40, 2 0 0
17.2, 34, 1 1 -1
23.0, 100, 0 2 0
23.2, 39, 2 0 1
26.5, 32, 1 1 -2
27.0, 61, 3 1 -1
30.6, 35, 1 1 2
32.1, 44, 3 1 -2
42.9, 32, 3 3 -1

a b c (Å): 11.2440 7.7419 7.4706
angles (deg): 90.00 106.17 90.00
Space group C2/m (No. 12)
Asymmetric unit:
Ac 0.2303 0.0000 0.1251 [4 per cell]
Zn 0.1309 0.5000 0.2732 [4 per cell]
Br 0.0138 0.0000 0.7544 [4 per cell]
F 0.0451 0.5000 0.8003 [4 per cell]
F 0.1984 0.3206 0.1359 [8 per cell]
F 0.2026 0.5000 0.5352 [4 per cell]

=====

Structure and simulated powder X-ray diffraction pattern of AcFe2Br8 (a PBE-relaxed structure; Cu Kα X-rays).
No peak broadening, texture or thermal motion is included.

Principal peaks in the range 10 to 90 degrees two-theta, sorted by position:
Position (°2θ), I_rel, hkl
11.3, 100, 1 1 0
17.6, 30, 1 1 1
18.6, 24, 2 0 1
19.1, 22, 0 2 0
25.4, 30, 3 1 1
25.7, 87, 2 2 -1
29.0, 21, 4 0 1
33.9, 21, 2 2 -2
38.7, 20, 0 4 0
42.5, 28, 6 2 0

a b c (Å): 14.4149 9.3152 6.9096
angles (deg): 90.00 95.00 90.00
Space group C2/m (No. 12)
Asymmetric unit:
Ac 0.0000 0.0000 0.0000 [2 per cell]
Fe 0.1853 0.0000 0.6354 [4 per cell]
Br 0.0994 0.2076 0.7451 [8 per cell]
Br 0.1626 0.5000 0.2326 [4 per cell]
Br 0.1775 0.0000 0.2830 [4 per cell]

=====

Structure and simulated powder X-ray diffraction pattern of AcGaBr6 (a PBE-relaxed structure; Cu Kα X-rays).
No peak broadening, texture or thermal motion is included.

Principal peaks in the range 10 to 90 degrees two-theta, sorted by position:
Position (°2θ), I_rel, hkl
13.8, 77, 0 2 0
17.2, 74, 1 1 -1
22.1, 29, 1 1 1
29.7, 100, 1 3 1
31.9, 44, 2 0 -2
38.9, 21, 0 4 2
41.1, 19, 1 5 1
43.9, 29, 3 3 -1
44.4, 31, 1 3 -3
53.9, 21, 2 6 -2

a b c (Å): 7.0855 12.8347 6.9774
angles (deg): 90.00 106.11 90.00
Space group C2/m (No. 12)
Asymmetric unit:
Ac 0.0000 0.0000 0.0000 [2 per cell]
Ga 0.0000 0.5000 0.5000 [2 per cell]
Br 0.2040 0.3552 0.7152 [8 per cell]
Br 0.2404 0.5000 0.2725 [4 per cell]

=====

Structure and simulated powder X-ray diffraction pattern of Ac3GaBr3 (a PBE-relaxed structure; Cu Kα X-rays).
No peak broadening, texture or thermal motion is included.

Principal peaks in the range 10 to 90 degrees two-theta, sorted by position:
Position (°2θ), I_rel, hkl
23.9, 21, 2 2 2
25.9, 20, 3 2 1
27.7, 100, 4 0 0
32.6, 10, 3 3 2
39.5, 76, 4 4 0
46.7, 11, 6 2 2
48.9, 27, 4 4 4
57.2, 12, 8 0 0
64.7, 34, 8 4 0
71.7, 24, 8 4 4

a b c (Å): 12.8930 12.8930 12.8930
angles (deg): 90.00 90.00 90.00
Space group I4_132 (No. 214)
Asymmetric unit:
Ac 0.1163 0.3663 0.1250 [24 per cell]
Ga 0.1250 0.1250 0.1250 [8 per cell]
Br 0.1219 0.1281 0.6250 [24 per cell]

=====

Structure and simulated powder X-ray diffraction pattern of AcGaBr (a PBE-relaxed structure; Cu Kα X-rays).
No peak broadening, texture or thermal motion is included.

Principal peaks in the range 10 to 90 degrees two-theta, sorted by position:
Position (°2θ), I_rel, hkl
14.7, 36, 0 0 2
23.1, 59, 1 1 0
27.1, 36, 2 0 -2
27.7, 100, 1 1 2
31.7, 45, 2 0 -3
32.0, 60, 1 1 -3
32.5, 66, 1 1 3
32.7, 28, 2 0 3
40.6, 96, 0 2 0
44.1, 33, 1 1 -5

a b c (Å): 7.6955 4.4435 12.0455
angles (deg): 90.00 91.74 90.00
Space group C2/m (No. 12)
Asymmetric unit:
Ac 0.0090 0.0000 0.1870 [4 per cell]
Ga 0.1653 0.5000 0.9723 [4 per cell]
Br 0.1832 0.5000 0.3465 [4 per cell]

=====

Structure and simulated powder X-ray diffraction pattern of Ac3GaBr3 (a PBE-relaxed structure; Cu Kα X-rays).
No peak broadening, texture or thermal motion is included.

Principal peaks in the range 10 to 90 degrees two-theta, sorted by position:
Position (°2θ), I_rel, hkl
13.9, 23, 1 0 0
19.7, 25, 1 1 0
24.2, 22, 1 1 1
28.0, 100, 2 0 0
31.4, 14, 2 1 0
40.0, 78, 2 2 0
49.5, 28, 2 2 2
57.8, 13, 4 0 0
65.4, 37, 4 2 0
72.6, 27, 4 2 2

a b c (Å): 6.3795 6.3795 6.3795
angles (deg): 90.00 90.00 90.00
Space group Pm-3m (No. 221)
Asymmetric unit:
Ac 0.0000 0.0000 0.5000 [3 per cell]
Ga 0.0000 0.0000 0.0000 [1 per cell]
Br 0.0000 0.5000 0.5000 [3 per cell]

=====

Structure and simulated powder X-ray diffraction pattern of AcGe2Br8 (a PBE-relaxed structure; Cu Kα X-rays).
No peak broadening, texture or thermal motion is included.

Principal peaks in the range 10 to 90 degrees two-theta, sorted by position:
Position (°2θ), I_rel, hkl
11.1, 100, 1 1 0
11.9, 34, 0 0 1
17.0, 50, 0 2 0
17.8, 30, 1 1 1
21.2, 39, 2 0 1
23.2, 97, 2 2 -1
29.0, 51, 3 1 1
29.5, 66, 2 2 -2
38.0, 37, 3 1 2
45.0, 41, 5 3 0

a b c (Å): 12.9628 10.4220 7.8077
angles (deg): 90.00 107.22 90.00
Space group C2/m (No. 12)
Asymmetric unit:
Ac 0.0000 0.0000 0.0000 [2 per cell]
Ge 0.1954 0.0000 0.6656 [4 per cell]
Br 0.1028 0.1861 0.7913 [8 per cell]
Br 0.1193 0.5000 0.1491 [4 per cell]
Br 0.2064 0.0000 0.3104 [4 per cell]

=====

Structure and simulated powder X-ray diffraction pattern of Ac3GeBr3 (a PBE-relaxed structure; Cu Kα X-rays).
No peak broadening, texture or thermal motion is included.

Principal peaks in the range 10 to 90 degrees two-theta, sorted by position:
Position (°2θ), I_rel, hkl
24.1, 21, 2 2 2
26.0, 20, 3 2 1
27.9, 100, 4 0 0
32.8, 11, 3 3 2
39.8, 76, 4 4 0
47.1, 10, 6 2 2
49.3, 27, 4 4 4
57.6, 12, 8 0 0
65.2, 33, 8 4 0
72.3, 24, 8 4 4

a b c (Å): 12.8044 12.8044 12.8044
angles (deg): 90.00 90.00 90.00
Space group I4_132 (No. 214)
Asymmetric unit:
Ac 0.1154 0.3654 0.1250 [24 per cell]
Ge 0.1250 0.1250 0.1250 [8 per cell]
Br 0.1221 0.1279 0.6250 [24 per cell]